Calculated X-ray diffraction stick pattern of Sm2GdCo2B2O3 for Cu Kα, from a structure optimized by DFT (PBE+U).

Crystal structure
```
Sm2GdCo2B2O3
1.0
-1.722 1.722 10.980
1.722 -1.722 10.980
1.722 1.722 -10.980
Sm Gd Co B O
2 1 2 2 3
direct
0.136 0.136 0.000
0.864 0.864 0.000
0.500 0.500 0.000
0.250 0.750 0.500
0.750 0.250 0.500
0.288 0.288 0.000
0.712 0.712 0.000
0.000 0.000 0.000
0.398 0.398 0.000
0.602 0.602 0.000
```

Peak list (10 most intense, 2θ from 15° to 90°, most intense first)
Position (°2θ), I (rel.)
28.64, 100.0
32.62, 41.4
44.69, 34.3
33.05, 30.5
36.91, 29.8
53.02, 27.8
53.18, 26.6
61.52, 24.5
63.80, 22.8
37.84, 22.0